No. 1
# PaB3Ir3
Calculated PXRD pattern, a wavelength of 1.5418 Å. Input: a cell relaxed with PBE.
No peak broadening, texture or thermal motion is included.

Largest 10 diffraction maxima, in order of rising 2θ, 2θ from 5° to 70°:
2θ/deg  I/Imax  index
26.26  29  2 0 0
33.35  82  1 1 1
34.97  27  2 1 0
35.95  100  2 0 1
39.84  49  3 0 0
42.93  25  1 2 1
48.34  23  3 1 0
49.40  21  0 0 2
65.00  36  2 3 1
65.25  23  3 0 2

Cell and atoms:
```
data_PaB3Ir3
_chemical_formula_sum 'Pa2 B6 Ir6'
_cell_length_a 7.8388
_cell_length_b 7.8388
_cell_length_c 3.6897
_cell_angle_alpha 90.00
_cell_angle_beta 90.00
_cell_angle_gamma 120.00
_symmetry_space_group_name_H-M 'P 63/m'
_symmetry_Int_Tables_number 176
_symmetry_space_group_name_Hall '-P 6c'
loop_
_atom_site_label
_atom_site_type_symbol
_atom_site_fract_x
_atom_site_fract_y
_atom_site_fract_z
Pa1 Pa 0.3333 0.6667 0.2500
B1 B 0.0522 0.6227 0.7500
Ir1 Ir 0.0713 0.3425 0.7500
```

No. 2
# ZrCd2Au6
Calculated PXRD pattern, a wavelength of 1.5418 Å. Input: a cell relaxed with PBE.
No peak broadening, texture or thermal motion is included.

Largest 10 diffraction maxima, in order of rising 2θ, 2θ from 5° to 70°:
2θ/deg  I/Imax  index
34.80  68  0 4 0
36.27  62  5 1 -1
36.59  62  1 1 -2
39.25  100  4 2 1
44.20  37  5 3 -1
44.48  33  1 3 -2
57.45  15  5 5 -1
57.68  18  1 5 -2
65.38  21  4 6 1
66.46  22  6 2 -3

Cell and atoms:
```
data_ZrCd2Au6
_chemical_formula_sum 'Zr4 Cd8 Au24'
_cell_length_a 13.565
_cell_length_b 10.311
_cell_length_c 5.058
_cell_angle_alpha 90.00
_cell_angle_beta 100.45
_cell_angle_gamma 90.00
_symmetry_space_group_name_H-M 'C 1 2/c 1'
_symmetry_Int_Tables_number 15
loop_
_symmetry_equiv_pos_as_xyz
'x,y,z'
'-x,-y,-z'
'-x,y,-z+1/2'
'x,-y,z+1/2'
'x+1/2,y+1/2,z'
'-x+1/2,-y+1/2,-z'
'-x+1/2,y+1/2,-z+1/2'
'x+1/2,-y+1/2,z+1/2'
loop_
_atom_site_label
_atom_site_type_symbol
_atom_site_fract_x
_atom_site_fract_y
_atom_site_fract_z
Zr1 Zr 0.000 0.137 0.250
Cd1 Cd 0.167 0.371 0.083
Au1 Au 0.057 0.376 0.530
Au2 Au 0.108 0.113 0.802
Au3 Au 0.221 0.129 0.361
```

No. 3
# Tb5Y2Er4
Calculated PXRD pattern, a wavelength of 1.5418 Å. Input: a cell relaxed with PBE.
No peak broadening, texture or thermal motion is included.

Largest 10 diffraction maxima, in order of rising 2θ, 2θ from 5° to 70°:
2θ/deg  I/Imax  index
28.22  41  3 1 0
29.84  85  2 2 0
30.25  36  3 1 -2
30.39  34  2 0 -3
30.57  55  0 0 3
31.91  100  0 2 2
32.56  87  4 0 -1
33.12  62  2 2 1
33.32  55  2 2 -2
58.36  54  6 2 0

Cell and atoms:
```
data_Tb5Y2Er4
_chemical_formula_sum 'Tb10 Y4 Er8'
_cell_length_a 10.994
_cell_length_b 7.295
_cell_length_c 9.161
_cell_angle_alpha 90.00
_cell_angle_beta 106.73
_cell_angle_gamma 90.00
_symmetry_space_group_name_H-M 'C 1 2/m 1'
_symmetry_Int_Tables_number 12
loop_
_symmetry_equiv_pos_as_xyz
'x,y,z'
'-x,-y,-z'
'-x,y,-z'
'x,-y,z'
'x+1/2,y+1/2,z'
'-x+1/2,-y+1/2,-z'
'-x+1/2,y+1/2,-z'
'x+1/2,-y+1/2,z'
loop_
_atom_site_label
_atom_site_type_symbol
_atom_site_fract_x
_atom_site_fract_y
_atom_site_fract_z
Tb1 Tb 0.000 0.000 0.000
Tb2 Tb 0.069 0.280 0.273
Y1 Y 0.145 0.000 0.622
Er1 Er 0.165 0.500 0.618
Er2 Er 0.187 0.500 0.997
```

No. 4
# YFe7B3
Calculated PXRD pattern, a wavelength of 1.5418 Å. Input: a cell relaxed with PBE.
No peak broadening, texture or thermal motion is included.

Largest 10 diffraction maxima, in order of rising 2θ, 2θ from 5° to 70°:
2θ/deg  I/Imax  index
26.63  17  1 1 0
28.94  22  0 0 6
30.38  17  1 1 3
36.58  57  0 2 4
41.50  62  2 1 1
42.05  59  0 1 8
45.82  100  2 1 4
47.02  10  3 0 0
48.27  53  1 2 5
52.20  28  1 1 9

Cell and atoms:
```
data_YFe7B3
_chemical_formula_sum 'Y6 Fe42 B18'
_cell_length_a 6.6940
_cell_length_b 6.6940
_cell_length_c 18.5087
_cell_angle_alpha 90.00
_cell_angle_beta 90.00
_cell_angle_gamma 120.00
_symmetry_space_group_name_H-M 'R -3 c'
_symmetry_Int_Tables_number 167
_symmetry_space_group_name_Hall '-R 3 2"c'
loop_
_atom_site_label
_atom_site_type_symbol
_atom_site_fract_x
_atom_site_fract_y
_atom_site_fract_z
Y1 Y 0.0000 0.0000 0.0000
Fe1 Fe 0.0000 0.0000 0.2500
Fe2 Fe 0.0092 0.2191 0.1386
B1 B 0.0000 0.3268 0.2500
```